No. 1
This entry pairs a crystal structure of KGaS2 with its computed X-ray powder pattern. Radiation: copper Kα. Structure: a cell relaxed with GGA-PBE.

Principal peaks in the range 10 to 90 degrees two-theta, in order of falling intensity:
h k l	Position (°2θ)	I (rel.)
2 2 -4	31.96	100
2 2 1	25.48	45
4 0 4	46.06	35
4 4 -1	48.71	33
0 0 4	24.02	31
0 0 2	11.97	31
2 6 3	59.45	29
4 0 -8	55.70	22
1 1 1	14.01	20
1 3 3	33.25	17

a b c (Å): 10.5773 10.5732 15.0226
angles (deg): 90.00 100.15 90.00
Space group C2/c (No. 15)
Unique sites:
K (0.0369, 0.1886, 0.3911) x8
K (0.2153, 0.4382, 0.1110) x8
Ga (0.1007, 0.1885, 0.6637) x8
Ga (0.1461, 0.4364, 0.8367) x8
S (0.0000, 0.0568, 0.7500) x4
S (0.0000, 0.4320, 0.2500) x4
S (0.0465, 0.3115, 0.9313) x8
S (0.2045, 0.0634, 0.5723) x8
S (0.2438, 0.1883, 0.2494) x8



No. 2
This entry pairs a crystal structure of K3GaS3 with its computed X-ray powder pattern. Radiation: copper Kα. Structure: a cell relaxed with GGA-PBE.

Principal peaks in the range 10 to 90 degrees two-theta, in order of falling intensity:
h k l	Position (°2θ)	I (rel.)
1 4 -1	30.36	100
2 1 0	29.65	57
1 1 -1	13.45	54
2 2 -3	30.99	52
1 0 0	14.28	45
1 2 2	35.99	39
0 2 0	13.90	37
1 2 0	19.98	32
0 1 1	12.97	30
2 1 -1	24.66	29

a b c (Å): 7.8341 12.7427 10.2113
angles (deg): 90.00 127.66 90.00
Space group P2_1/c (No. 14)
Unique sites:
K (0.1183, 0.1267, 0.4735) x4
K (0.1585, 0.0894, 0.8925) x4
K (0.3621, 0.6890, 0.5772) x4
Ga (0.4343, 0.0601, 0.3361) x4
S (0.1546, 0.1755, 0.1895) x4
S (0.3445, 0.6062, 0.8784) x4
S (0.3742, 0.5453, 0.2626) x4



No. 3
This entry pairs a crystal structure of K2GaSb2 with its computed X-ray powder pattern. Radiation: copper Kα. Structure: a cell relaxed with GGA-PBE.

Principal peaks in the range 10 to 90 degrees two-theta, in order of falling intensity:
h k l	Position (°2θ)	I (rel.)
0 2 0	16.81	100
0 4 0	33.98	49
1 2 2	26.25	43
4 2 0	28.84	39
2 1 4	41.61	38
2 2 2	28.16	36
7 0 1	42.48	35
2 3 4	48.53	24
2 1 2	23.98	23
4 1 1	26.59	19

a b c (Å): 15.2952 10.5501 9.2702
angles (deg): 90.00 90.00 90.00
Space group Pnma (No. 62)
Unique sites:
K (0.0148, 0.0267, 0.2297) x8
K (0.2342, 0.5294, 0.5887) x8
Ga (0.0949, 0.2500, 0.5840) x4
Ga (0.1789, 0.7500, 0.2762) x4
Sb (0.0689, 0.7500, 0.4978) x4
Sb (0.1283, 0.7500, 0.0052) x4
Sb (0.1522, 0.2500, 0.8489) x4
Sb (0.2030, 0.2500, 0.3654) x4